Simulated powder diffraction line list
Compound: KAcC3N6
Radiation: CuKα
Structure: a PBE-relaxed structure

Structural model:
```
KAcC3N6
1.0
4.6911 2.7084 2.7051
-4.6911 2.7084 2.7051
0.0000 -5.4168 2.7051
K Ac C N
1 1 3 6
Cartesian
0.0000 0.0000 0.0000
0.0000 0.0000 4.0577
-4.6911 0.0000 4.0577
-2.3456 1.3542 1.3526
2.3456 1.3542 1.3526
0.0000 -1.8975 2.2796
-1.6433 0.9487 2.2796
-1.6433 -0.9487 5.8358
1.6433 0.9487 2.2796
1.6433 -0.9487 5.8358
0.0000 1.8975 5.8358
```

Main lines, sorted by position (10° ≤ 2θ ≤ 90°):
d (Å), Position (°2θ), Rel. int.
5.742, 15.43, 67
4.691, 18.92, 97
3.632, 24.51, 100
2.871, 31.15, 57
2.449, 36.70, 54
2.345, 38.39, 42
1.970, 46.08, 39
1.816, 50.24, 29
1.773, 51.56, 26
1.693, 54.17, 23